(1)
Diffraction record for AcGa5PdPt2. The powder XRD pattern is theoretical, not measured: it uses a structure optimized by DFT (GGA-PBE) and λ = 1.5418 Å (Cu Kα).
Peak positions follow from Bragg's law for the DFT cell and can differ from measured ones.

Atomic structure:
```
data_AcGa5PdPt2
_space_group_name_H-M_alt 'P 4/m m m'
_space_group_IT_number 123
_space_group_name_Hall '-P 4 2'
_cell_length_a 4.4679
_cell_length_b 4.4679
_cell_length_c 9.8257
_cell_angle_alpha 90.00
_cell_angle_beta 90.00
_cell_angle_gamma 90.00
loop_
_atom_site_label
_atom_site_type_symbol
_atom_site_fract_x
_atom_site_fract_y
_atom_site_fract_z
Ac1 Ac 0.0000 0.0000 0.0000
Ga1 Ga 0.0000 0.5000 0.3555
Ga2 Ga 0.5000 0.5000 0.0000
Pd1 Pd 0.0000 0.0000 0.5000
Pt1 Pt 0.5000 0.5000 0.2385
```

Main lines, in order of rising 2θ (2θ from 10° to 90°):
Position (°2θ)  I_rel  (hkl)
26.97  100  1 0 2
28.25  27  1 1 0
29.70  30  1 1 1
40.38  50  2 0 0
46.85  59  1 1 4
49.23  40  2 1 2
58.42  17  2 2 0
74.99  10  2 1 6
78.02  26  3 1 4
79.82  10  3 2 2

***

(2)
Diffraction record for Ce5ThRu4. The powder XRD pattern is theoretical, not measured: it uses a structure optimized by DFT (GGA-PBE) and λ = 1.5418 Å (Cu Kα).
Peak positions follow from Bragg's law for the DFT cell and can differ from measured ones.

Atomic structure:
```
data_Ce5ThRu4
_space_group_name_H-M_alt 'P m m n'
_space_group_IT_number 59
_cell_length_a 7.8140
_cell_length_b 9.7164
_cell_length_c 6.7820
_cell_angle_alpha 90.00
_cell_angle_beta 90.00
_cell_angle_gamma 90.00
loop_
_space_group_symop_operation_xyz
'x,y,z'
'-x,-y,-z'
'-x+1/2,-y+1/2,z'
'x+1/2,y+1/2,-z'
'x+1/2,-y,-z'
'-x+1/2,y,z'
'-x,y+1/2,-z'
'x,-y+1/2,z'
loop_
_atom_site_label
_atom_site_type_symbol
_atom_site_fract_x
_atom_site_fract_y
_atom_site_fract_z
Ce1 Ce 0.0181 0.0593 0.2187
Ce2 Ce 0.2500 0.7500 0.3971
Th1 Th 0.2500 0.2500 0.7423
Ru1 Ru 0.0702 0.7500 0.0254
Ru2 Ru 0.2500 0.0103 0.5000
```

Main lines, in order of rising 2θ (2θ from 10° to 90°):
Position (°2θ)  I_rel  (hkl)
26.32  69  2 0 1
27.91  79  2 1 1
29.34  26  2 2 0
30.17  33  1 1 2
30.59  89  0 3 1
37.00  35  0 4 0
39.79  100  2 2 2
44.19  23  0 2 3
54.44  35  2 5 1
56.68  25  4 3 1

***

(3)
Diffraction record for Tb6Al3S14. The powder XRD pattern is theoretical, not measured: it uses a structure optimized by DFT (GGA-PBE) and λ = 1.5418 Å (Cu Kα).
Peak positions follow from Bragg's law for the DFT cell and can differ from measured ones.

Atomic structure:
```
data_Tb6Al3S14
_space_group_name_H-M_alt 'P 3'
_space_group_IT_number 143
_cell_length_a 9.6094
_cell_length_b 9.6094
_cell_length_c 6.1622
_cell_angle_alpha 90.00
_cell_angle_beta 90.00
_cell_angle_gamma 120.00
loop_
_space_group_symop_operation_xyz
'x,y,z'
'-y,x-y,z'
'-x+y,-x,z'
loop_
_atom_site_label
_atom_site_type_symbol
_atom_site_fract_x
_atom_site_fract_y
_atom_site_fract_z
Tb1 Tb 0.0367 0.4865 0.0000
Tb2 Tb 0.2893 0.1800 0.4929
Al1 Al 0.0000 0.0000 0.0671
Al2 Al 0.3333 0.6667 0.5730
Al3 Al 0.6667 0.3333 0.6743
S1 S 0.0000 0.0000 0.7047
S2 S 0.0965 0.2440 0.2216
S3 S 0.1905 0.7670 0.7291
S4 S 0.3333 0.6667 0.2092
S5 S 0.4294 0.2313 0.8944
S6 S 0.5282 0.0943 0.4302
```

Main lines, in order of rising 2θ (2θ from 10° to 90°):
Position (°2θ)  I_rel  (hkl)
17.91  46  1 0 1
21.35  24  2 0 0
25.84  100  2 0 1
35.49  34  0 3 1
36.28  32  0 2 2
37.44  32  2 2 0
41.01  34  2 1 2
41.79  24  1 3 1
49.49  25  2 0 3
52.54  22  4 1 1